Record 1
For Co7Sb2O12, a PBE+U-relaxed structure gives the theoretical X-ray powder pattern in this record (CuKα).
Lines closer than 0.1° are merged.

Main lines, low angle first (2θ = 10–90°):
| (hkl) | d_spacing | I (rel.) |
| --- | --- | --- |
| 2 0 1 | 4.981 | 27 |
| 3 1 0 | 3.059 | 30 |
| 0 2 3 | 2.627 | 100 |
| 3 1 -3 | 2.618 | 58 |
| 3 1 3 | 2.608 | 48 |
| 2 2 4 | 2.171 | 51 |
| 2 2 -8 | 1.542 | 30 |
| 6 2 0 | 1.529 | 30 |

Cell and atoms:
```
data_Co7Sb2O12
_symmetry_space_group_name_H-M 'C 1 2 1'
_symmetry_Int_Tables_number 5
_cell_length_a 10.569
_cell_length_b 6.151
_cell_length_c 15.121
_cell_angle_alpha 90.00
_cell_angle_beta 90.29
_cell_angle_gamma 90.00
loop_
_symmetry_equiv_pos_as_xyz
'x,y,z'
'-x,y,-z'
'x+1/2,y+1/2,z'
'-x+1/2,y+1/2,-z'
loop_
_atom_site_label
_atom_site_fract_x
_atom_site_fract_y
_atom_site_fract_z
Co1 0.000 0.000 0.000
Co2 0.000 0.520 0.500
Co3 0.003 0.024 0.628
Co4 0.081 0.770 0.838
Co5 0.161 0.527 0.042
Co6 0.164 0.016 0.162
Co7 0.170 0.510 0.301
Co8 0.250 0.269 0.501
Sb1 0.083 0.264 0.838
Sb2 0.169 0.526 0.665
O1 0.004 0.034 0.763
O2 0.015 0.507 0.752
O3 0.072 0.258 0.087
O4 0.078 0.786 0.087
O5 0.089 0.750 0.588
O6 0.092 0.295 0.588
O7 0.160 0.028 0.911
O8 0.164 0.506 0.907
O9 0.167 0.519 0.429
O10 0.179 0.018 0.412
O11 0.237 0.285 0.752
O12 0.242 0.743 0.750
```

=====

Record 2
For NaMn3V4O12, a PBE+U-relaxed structure gives the theoretical X-ray powder pattern in this record (CuKα).
Lines closer than 0.1° are merged.

Main lines, low angle first (2θ = 10–90°):
| (hkl) | d_spacing | I (rel.) |
| --- | --- | --- |
| 0 2 2 | 2.678 | 58 |
| 2 0 2 | 2.668 | 57 |
| 0 2 -2 | 2.646 | 100 |
| 0 0 4 | 2.639 | 49 |
| 2 0 -2 | 2.629 | 47 |
| 2 2 4 | 1.895 | 35 |
| 2 -2 0 | 1.885 | 32 |
| 4 2 2 | 1.537 | 39 |

Cell and atoms:
```
data_NaMn3V4O12
_symmetry_space_group_name_H-M 'P -1'
_symmetry_Int_Tables_number 2
_cell_length_a 6.482
_cell_length_b 6.523
_cell_length_c 10.558
_cell_angle_alpha 88.78
_cell_angle_beta 88.70
_cell_angle_gamma 70.89
loop_
_symmetry_equiv_pos_as_xyz
'x,y,z'
'-x,-y,-z'
loop_
_atom_site_label
_atom_site_fract_x
_atom_site_fract_y
_atom_site_fract_z
Na1 0.250 0.250 0.250
Mn1 0.000 0.000 0.000
Mn2 0.000 0.000 0.500
Mn3 0.249 0.248 0.749
Mn4 0.500 0.500 0.000
Mn5 0.500 0.500 0.500
V1 0.000 0.500 0.000
V2 0.000 0.500 0.500
V3 0.250 0.749 0.750
V4 0.251 0.750 0.250
V5 0.500 0.000 0.000
V6 0.500 0.000 0.500
O1 0.012 0.001 0.314
O2 0.032 0.667 0.160
O3 0.096 0.713 0.894
O4 0.158 0.523 0.658
O5 0.188 0.183 0.496
O6 0.207 0.584 0.402
O7 0.298 0.914 0.100
O8 0.312 0.316 0.005
O9 0.341 0.975 0.843
O10 0.404 0.783 0.604
O11 0.470 0.835 0.340
O12 0.488 0.499 0.186
```

=====

- Which formula does entry 2 have?
  NaMn3V4O12